Diffraction record for KInMo2O8. The powder diffraction line list is computed, not measured: it uses a GGA+U-relaxed structure and copper Kα.
Intensities are scaled so that the largest is 100.

Structure:
a b c (Å): 15.6264 5.9350 9.1051
angles (deg): 90.00 90.00 90.00
Space group Pnma (No. 62)
Unique sites:
K1 0.1253 0.2500 0.0628 x4
In1 0.1154 0.7500 0.6829 x4
Mo1 0.0293 0.7500 0.2844 x4
Mo2 0.2172 0.2500 0.4876 x4
O1 0.0314 0.0049 0.7770 x8
O2 0.0447 0.7500 0.4796 x4
O3 0.1269 0.7500 0.1904 x4
O4 0.1354 0.2500 0.3576 x4
O5 0.1817 0.7500 0.8903 x4
O6 0.2057 0.5039 0.5975 x8

Most intense lines, 2θ = 10–80°, in order of rising 2θ:
two_theta  I (rel.)
11.25  49
18.76  50
21.18  49
22.60  100
24.76  99
27.20  86
29.07  82
30.11  86